Record 1
TbFeO3: computed X-ray powder pattern (λ = 1.5418 Å (Cu Kα)), based on the PBE+U geometry in the Materials Project.
Neutral-atom scattering factors, no anomalous dispersion.

Crystal structure
Cell lengths 5.666, 7.732, 5.355 Å; angles 90.00, 90.00, 90.00 degrees
Space group Pnma (No. 62)
Symmetry-distinct sites (fractional):
Tb  0.068  0.250  0.019 (multiplicity 4)
Fe  0.000  0.000  0.500 (multiplicity 4)
O  0.041  0.750  0.386 (multiplicity 4)
O  0.195  0.558  0.808 (multiplicity 8)

The 10 most intense peaks (2θ from 10° to 90°), low angle first:
Position (°2θ)	I/Imax	(hkl)
22.9	19	1 0 1
25.6	22	1 1 1
31.6	18	2 0 0
32.6	100	1 2 1
33.5	24	0 0 2
33.7	14	2 1 0
46.7	17	2 0 2
47.0	14	0 4 0
52.7	19	3 1 1
59.3	22	1 2 3

Record 2
Tb2VFeO6: computed X-ray powder pattern (λ = 1.5418 Å (Cu Kα)), based on the PBE+U geometry in the Materials Project.
Neutral-atom scattering factors, no anomalous dispersion.

Crystal structure
Cell lengths 5.361, 5.672, 9.404 Å; angles 90.00, 124.70, 90.00 degrees
Space group P2_1/c (No. 14)
Symmetry-distinct sites (fractional):
Tb  0.231  0.070  0.250 (multiplicity 4)
V  0.000  0.000  0.500 (multiplicity 2)
Fe  0.500  0.000  0.000 (multiplicity 2)
O  0.134  0.196  0.943 (multiplicity 4)
O  0.254  0.697  0.942 (multiplicity 4)
O  0.365  0.040  0.751 (multiplicity 4)

The 10 most intense peaks (2θ from 10° to 90°), low angle first:
Position (°2θ)	I/Imax	(hkl)
22.8	22	1 1 -1
23.0	16	0 0 2
25.6	24	1 1 0
31.5	17	0 2 0
32.6	100	1 1 1
33.4	25	2 0 -2
33.7	16	0 2 1
46.6	16	2 2 -2
52.7	20	1 3 0
59.3	22	3 1 -1

Record 3
FeTeO5: computed X-ray powder pattern (λ = 1.5418 Å (Cu Kα)), based on the PBE+U geometry in the Materials Project.
Neutral-atom scattering factors, no anomalous dispersion.

Crystal structure
Cell lengths 10.406, 9.739, 8.010 Å; angles 90.00, 103.81, 90.00 degrees
Space group P2_1/c (No. 14)
Symmetry-distinct sites (fractional):
Fe  0.042  0.014  0.318 (multiplicity 4)
Fe  0.386  0.109  0.411 (multiplicity 4)
Te  0.154  0.717  0.534 (multiplicity 4)
Te  0.205  0.166  0.997 (multiplicity 4)
O  0.047  0.150  0.099 (multiplicity 4)
O  0.074  0.605  0.042 (multiplicity 4)
O  0.124  0.656  0.748 (multiplicity 4)
O  0.136  0.043  0.820 (multiplicity 4)
O  0.187  0.138  0.460 (multiplicity 4)
O  0.293  0.055  0.182 (multiplicity 4)
O  0.340  0.706  0.194 (multiplicity 4)
O  0.370  0.198  0.934 (multiplicity 4)
O  0.401  0.642  0.075 (multiplicity 4)
O  0.442  0.003  0.631 (multiplicity 4)

The 10 most intense peaks (2θ from 10° to 90°), low angle first:
Position (°2θ)	I/Imax	(hkl)
15.5	65	1 1 -1
22.9	100	0 0 2
25.4	86	2 2 0
29.1	55	1 2 -2
29.4	92	0 2 2
29.8	68	0 3 1
30.7	54	3 0 -2
32.1	55	3 2 -1
32.3	85	2 0 2
54.4	52	2 0 4